1.
Structure and calculated powder diffraction line list of NaHf3P5 (a DFT-relaxed cell (GGA-PBE, OQMD); Cu Kα, 1.54184 Å).
Intensities are scaled so that the largest is 100.

Atomic structure:
```
data_NaHf3P5
_space_group_name_H-M_alt 'P 1'
_space_group_IT_number 1
_space_group_name_Hall 'P 1'
_cell_length_a 6.050
_cell_length_b 6.050
_cell_length_c 5.903
_cell_angle_alpha 90.00
_cell_angle_beta 90.00
_cell_angle_gamma 120.00
loop_
_atom_site_label
_atom_site_type_symbol
_atom_site_fract_x
_atom_site_fract_y
_atom_site_fract_z
Na1 Na 0.000 0.000 0.000
Hf1 Hf 0.000 0.500 0.500
Hf2 Hf 0.500 0.000 0.500
Hf3 Hf 0.500 0.500 0.500
P1 P 0.000 0.000 0.500
P2 P 0.333 0.667 0.182
P3 P 0.333 0.667 0.818
P4 P 0.667 0.333 0.182
P5 P 0.667 0.333 0.818
```

The 12 most intense peaks (10 to 90 degrees two-theta), most intense first:
- 15.01°, rel. 100
- 37.56°, rel. 87
- 46.34°, rel. 59
- 34.23°, rel. 49
- 16.92°, rel. 34
- 30.28°, rel. 21
- 22.69°, rel. 20
- 33.28°, rel. 19
- 58.68°, rel. 18
- 61.29°, rel. 16
- 63.50°, rel. 14
- 73.68°, rel. 14

2.
Structure and calculated powder diffraction line list of NaPrHf (a DFT-relaxed cell (GGA-PBE, OQMD); Cu Kα, 1.54184 Å).
Intensities are scaled so that the largest is 100.

Atomic structure:
```
data_NaPrHf
_space_group_name_H-M_alt 'P 1'
_space_group_IT_number 1
_space_group_name_Hall 'P 1'
_cell_length_a 5.198
_cell_length_b 5.198
_cell_length_c 5.198
_cell_angle_alpha 60.00
_cell_angle_beta 60.00
_cell_angle_gamma 60.00
loop_
_atom_site_label
_atom_site_type_symbol
_atom_site_fract_x
_atom_site_fract_y
_atom_site_fract_z
Na1 Na 0.000 0.000 0.000
Pr1 Pr 0.500 0.500 0.500
Hf1 Hf 0.250 0.250 0.250
```

The 11 most intense peaks (10 to 90 degrees two-theta), most intense first:
- 34.51°, rel. 100
- 20.93°, rel. 89
- 40.70°, rel. 49
- 61.82°, rel. 37
- 54.40°, rel. 21
- 49.60°, rel. 18
- 83.09°, rel. 16
- 66.03°, rel. 16
- 76.69°, rel. 16
- 72.77°, rel. 11
- 86.89°, rel. 6

3.
Structure and calculated powder diffraction line list of Na2HfTeSe2 (a DFT-relaxed cell (GGA-PBE, OQMD); Cu Kα, 1.54184 Å).
Intensities are scaled so that the largest is 100.

Atomic structure:
```
data_Na2HfTeSe2
_space_group_name_H-M_alt 'P 1'
_space_group_IT_number 1
_space_group_name_Hall 'P 1'
_cell_length_a 7.193
_cell_length_b 7.193
_cell_length_c 7.548
_cell_angle_alpha 99.33
_cell_angle_beta 99.33
_cell_angle_gamma 121.36
loop_
_atom_site_label
_atom_site_type_symbol
_atom_site_fract_x
_atom_site_fract_y
_atom_site_fract_z
Na1 Na 0.000 0.000 0.000
Na2 Na 0.165 0.835 0.500
Na3 Na 0.500 0.500 0.500
Na4 Na 0.835 0.165 0.500
Hf1 Hf 0.318 0.682 0.000
Hf2 Hf 0.682 0.318 0.000
Te1 Te 0.281 0.281 0.773
Te2 Te 0.719 0.719 0.227
Se1 Se 0.078 0.443 0.218
Se2 Se 0.443 0.078 0.218
Se3 Se 0.557 0.922 0.782
Se4 Se 0.922 0.557 0.782
```

The 12 most intense peaks (10 to 90 degrees two-theta), most intense first:
- 30.11°, rel. 100
- 12.43°, rel. 45
- 41.92°, rel. 27
- 44.25°, rel. 22
- 16.52°, rel. 17
- 42.93°, rel. 12
- 15.09°, rel. 11
- 38.92°, rel. 11
- 43.28°, rel. 11
- 53.62°, rel. 10
- 18.85°, rel. 10
- 62.59°, rel. 9

4.
Structure and calculated powder diffraction line list of NaHfTlSe3 (a DFT-relaxed cell (GGA-PBE, OQMD); Cu Kα, 1.54184 Å).
Intensities are scaled so that the largest is 100.

Atomic structure:
```
data_NaHfTlSe3
_space_group_name_H-M_alt 'P 1'
_space_group_IT_number 1
_space_group_name_Hall 'P 1'
_cell_length_a 8.058
_cell_length_b 3.936
_cell_length_c 10.695
_cell_angle_alpha 90.00
_cell_angle_beta 104.77
_cell_angle_gamma 90.00
loop_
_atom_site_label
_atom_site_type_symbol
_atom_site_fract_x
_atom_site_fract_y
_atom_site_fract_z
Na1 Na 0.019 0.250 0.117
Na2 Na 0.981 0.750 0.883
Hf1 Hf 0.309 0.750 0.357
Hf2 Hf 0.691 0.250 0.643
Tl1 Tl 0.329 0.250 0.818
Tl2 Tl 0.671 0.750 0.182
Se1 Se 0.102 0.250 0.383
Se2 Se 0.273 0.750 0.105
Se3 Se 0.439 0.750 0.622
Se4 Se 0.561 0.250 0.378
Se5 Se 0.727 0.250 0.895
Se6 Se 0.898 0.750 0.617
```

The 12 most intense peaks (10 to 90 degrees two-theta), most intense first:
- 31.91°, rel. 100
- 11.36°, rel. 46
- 24.20°, rel. 40
- 22.94°, rel. 38
- 45.59°, rel. 34
- 27.74°, rel. 31
- 34.70°, rel. 27
- 34.29°, rel. 27
- 46.13°, rel. 26
- 40.67°, rel. 23
- 34.53°, rel. 20
- 33.63°, rel. 18